For PrTmH4, a GGA-PBE-relaxed structure gives the calculated powder diffraction line list in this record (Cu Kα X-rays).
Lines closer than 0.1° are merged.

Structural model:
a b c (Å): 6.488 6.488 6.488
angles (deg): 131.69 131.69 70.71
Sites, in units of the cell vectors:
1 Pr 0.375 0.625 0.750
2 Pr 0.625 0.375 0.250
3 Tm 0.125 0.875 0.250
4 Tm 0.875 0.125 0.750
5 H 0.000 0.228 0.228
6 H 0.000 0.772 0.772
7 H 0.228 0.000 0.728
8 H 0.228 0.500 0.228
9 H 0.500 0.228 0.728
10 H 0.500 0.772 0.272
11 H 0.772 0.000 0.272
12 H 0.772 0.500 0.772

Largest 6 diffraction maxima, by angle, 5 to 70 degrees two-theta:
- 3.062 Å, 29.2°, intensity 100
- 2.655 Å, 33.8°, intensity 33
- 2.646 Å, 33.9°, intensity 16
- 1.875 Å, 48.6°, intensity 38
- 1.600 Å, 57.6°, intensity 30
- 1.596 Å, 57.7°, intensity 15